Simulated X-ray powder pattern of Li4MnCr3P4O16 for Cu Kα (weighted mean of Kα1 and Kα2), from the PBE+U geometry in the Materials Project.

Structure:
Unit cell a=4.779 b=6.316 c=10.327 alpha=90.00 beta=90.65 gamma=90.00
Space group Pm (No. 6)
One atom of each set of equivalent atoms:
Li1 0.000 0.248 0.000 x2
Li2 0.504 0.249 0.497 x2
Mn1 0.531 0.000 0.781 x1
Cr1 0.051 0.500 0.714 x1
Cr2 0.449 0.500 0.214 x1
Cr3 0.952 0.000 0.283 x1
P1 0.083 0.000 0.590 x1
P2 0.414 0.000 0.095 x1
P3 0.585 0.500 0.905 x1
P4 0.920 0.500 0.404 x1
O1 0.201 0.000 0.449 x1
O2 0.217 0.195 0.660 x2
O3 0.244 0.500 0.398 x1
O4 0.260 0.500 0.896 x1
O5 0.286 0.198 0.163 x2
O6 0.293 0.000 0.954 x1
O7 0.694 0.500 0.048 x1
O8 0.715 0.301 0.839 x2
O9 0.739 0.000 0.100 x1
O10 0.761 0.000 0.592 x1
O11 0.787 0.302 0.338 x2
O12 0.811 0.500 0.547 x1

Principal peaks in the range 5 to 70 degrees two-theta, low angle first:
(hkl)  d_spacing  I (rel.)
0 0 2  5.163  33
1 0 -1  4.356  49
1 0 1  4.318  43
0 1 2  3.997  28
1 1 -1  3.586  42
1 1 1  3.565  45
0 2 0  3.158  100
1 1 -3  2.566  60
1 1 3  2.545  81
0 1 4  2.390  28